Entry 1:
The following is a calculated powder diffractogram of LaVN3. It was derived from a DFT-relaxed cell (PBE, Alexandria), using Cu Kα X-rays.
Kinematic intensities with the Lorentz-polarization factor, no thermal factor.

Most intense lines, 15 to 90 degrees two-theta, low angle first:
d 3.752, I 29.3; d 3.115, I 54.0; d 3.023, I 100.0; d 2.786, I 32.2; d 2.688, I 45.4; d 2.008, I 32.3

Cell and atoms:
Cell: 5.9485 5.9485 6.4128 Å, 108.85 108.85 39.45°
Fractional coordinates of all 10 atoms:
La 0.1000 0.1000 0.3226
La 0.9000 0.9000 0.6774
V 0.3343 0.3343 0.1236
V 0.6657 0.6657 0.8764
N 0.1575 0.1575 0.9460
N 0.3341 0.3341 0.3934
N 0.4852 0.4852 0.8899
N 0.5148 0.5148 0.1101
N 0.6659 0.6659 0.6066
N 0.8425 0.8425 0.0540



Entry 2:
The following is a calculated powder diffractogram of La5Pm4Sm2. It was derived from a DFT-relaxed cell (PBE, Alexandria), using Cu Kα X-rays.
Kinematic intensities with the Lorentz-polarization factor, no thermal factor.

Most intense lines, 15 to 90 degrees two-theta, low angle first:
d 3.300, I 65.4; d 2.987, I 100.0; d 2.937, I 79.9; d 2.900, I 77.6; d 2.728, I 88.9; d 2.695, I 87.8

Cell and atoms:
Cell: 12.4914 12.4914 8.9221 Å, 94.67 94.67 16.61°
Fractional coordinates of all 11 atoms:
La 0.0000 0.0000 0.0000
La 0.3164 0.3164 0.5274
La 0.3673 0.3673 0.9502
La 0.6327 0.6327 0.0498
La 0.6836 0.6836 0.4726
Pm 0.0869 0.0869 0.6958
Pm 0.4594 0.4594 0.6536
Pm 0.5406 0.5406 0.3464
Pm 0.9131 0.9131 0.3041
Sm 0.2272 0.2272 0.8255
Sm 0.7728 0.7728 0.1745



Entry 3:
The following is a calculated powder diffractogram of Fe3Rh7. It was derived from a DFT-relaxed cell (PBE, Alexandria), using Cu Kα X-rays.
Kinematic intensities with the Lorentz-polarization factor, no thermal factor.

Most intense lines, 15 to 90 degrees two-theta, low angle first:
d 2.707, I 34.3; d 2.252, I 100.0; d 2.187, I 55.9; d 2.018, I 60.5; d 1.900, I 24.1; d 1.885, I 19.6

Cell and atoms:
Cell: 7.4289 7.4289 5.9670 Å, 90.00 90.00 120.00°
Fractional coordinates of all 20 atoms:
Fe 0.2107 0.4214 0.0000
Fe 0.2107 0.7893 0.0000
Fe 0.4214 0.2107 0.5000
Fe 0.5786 0.7893 0.0000
Fe 0.7893 0.2107 0.5000
Fe 0.7893 0.5786 0.5000
Rh 0.0810 0.5405 0.3252
Rh 0.1215 0.2431 0.6255
Rh 0.1215 0.8785 0.6255
Rh 0.2431 0.1215 0.1255
Rh 0.3333 0.6667 0.6747
Rh 0.4595 0.5405 0.3252
Rh 0.4595 0.9190 0.3252
Rh 0.5405 0.0810 0.8252
Rh 0.5405 0.4595 0.8252
Rh 0.6667 0.3333 0.1747
Rh 0.7569 0.8785 0.6255
Rh 0.8785 0.1215 0.1255
Rh 0.8785 0.7569 0.1255
Rh 0.9190 0.4595 0.8252



Entry 4:
The following is a calculated powder diffractogram of RbH5Ir. It was derived from a DFT-relaxed cell (PBE, Alexandria), using Cu Kα X-rays.
Kinematic intensities with the Lorentz-polarization factor, no thermal factor.

Most intense lines, 15 to 90 degrees two-theta, low angle first:
d 4.645, I 28.6; d 3.336, I 44.2; d 3.236, I 47.6; d 2.660, I 100.0; d 2.323, I 39.4; d 1.765, I 29.4

Cell and atoms:
Cell: 5.6676 5.6676 5.6676 Å, 110.39 110.15 107.89°
Fractional coordinates of all 14 atoms:
Rb 0.2542 0.0042 0.2500
Rb 0.7458 0.9958 0.7500
H 0.1684 0.5039 0.2944
H 0.1684 0.8740 0.6645
H 0.2906 0.1260 0.7944
H 0.2906 0.4961 0.1645
H 0.3438 0.5938 0.7500
H 0.6562 0.4062 0.2500
H 0.7094 0.5039 0.8355
H 0.7094 0.8740 0.2056
H 0.8316 0.1260 0.3355
H 0.8316 0.4961 0.7056
Ir 0.0000 0.5000 0.5000
Ir 0.5000 0.5000 0.0000



Entry 5:
The following is a calculated powder diffractogram of CsK2OF. It was derived from a DFT-relaxed cell (PBE, Alexandria), using Cu Kα X-rays.
Kinematic intensities with the Lorentz-polarization factor, no thermal factor.

Most intense lines, 15 to 90 degrees two-theta, low angle first:
d 4.154, I 56.0; d 3.555, I 74.6; d 3.356, I 100.0; d 3.247, I 54.8; d 2.738, I 78.5; d 2.468, I 63.2

Cell and atoms:
Cell: 7.8193 3.9177 8.7259 Å, 90.00 104.26 90.00°
Fractional coordinates of all 10 atoms:
Cs 0.0076 0.2500 0.2858
Cs 0.9924 0.7500 0.7142
K 0.3468 0.7500 0.0407
K 0.4227 0.7500 0.6527
K 0.5773 0.2500 0.3473
K 0.6532 0.2500 0.9593
O 0.2798 0.2500 0.8254
O 0.7202 0.7500 0.1746
F 0.3200 0.7500 0.3395
F 0.6800 0.2500 0.6605



Entry 6:
The following is a calculated powder diffractogram of CdAg4Hg. It was derived from a DFT-relaxed cell (PBE, Alexandria), using Cu Kα X-rays.
Kinematic intensities with the Lorentz-polarization factor, no thermal factor.

Most intense lines, 15 to 90 degrees two-theta, low angle first:
d 2.494, I 26.9; d 2.451, I 30.2; d 2.337, I 100.0; d 1.748, I 17.9; d 1.408, I 13.7; d 1.392, I 18.5

Cell and atoms:
Cell: 10.0533 10.0533 10.0533 Å, 151.77 40.71 151.27°
Fractional coordinates of all 12 atoms:
Cd 0.2908 0.0408 0.2500
Cd 0.7092 0.9592 0.7500
Ag 0.1172 0.0293 0.0879
Ag 0.1258 0.4581 0.6677
Ag 0.2904 0.4581 0.8323
Ag 0.4415 0.0293 0.4121
Ag 0.5585 0.9707 0.5879
Ag 0.7096 0.5419 0.1677
Ag 0.8742 0.5419 0.3323
Ag 0.8828 0.9707 0.9121
Hg 0.0000 0.5000 0.5000
Hg 0.5000 0.5000 0.0000



Entry 7:
The following is a calculated powder diffractogram of Mg2Sc3Cd4. It was derived from a DFT-relaxed cell (PBE, Alexandria), using Cu Kα X-rays.
Kinematic intensities with the Lorentz-polarization factor, no thermal factor.

Most intense lines, 15 to 90 degrees two-theta, low angle first:
d 3.889, I 46.1; d 3.140, I 19.2; d 2.499, I 95.6; d 2.476, I 100.0; d 1.759, I 31.5; d 1.434, I 30.9

Cell and atoms:
Cell: 4.9517 4.9517 9.2236 Å, 90.00 90.00 120.00°
Fractional coordinates of all 9 atoms:
Mg 0.3333 0.6667 0.2686
Mg 0.6667 0.3333 0.7314
Sc 0.0000 0.0000 0.5000
Sc 0.3333 0.6667 0.9194
Sc 0.6667 0.3333 0.0806
Cd 0.0000 0.0000 0.1608
Cd 0.0000 0.0000 0.8392
Cd 0.3333 0.6667 0.5948
Cd 0.6667 0.3333 0.4052



Entry 8:
The following is a calculated powder diffractogram of Dy7InSe5. It was derived from a DFT-relaxed cell (PBE, Alexandria), using Cu Kα X-rays.
Kinematic intensities with the Lorentz-polarization factor, no thermal factor.

Most intense lines, 15 to 90 degrees two-theta, low angle first:
d 3.087, I 73.8; d 2.922, I 100.0; d 2.822, I 55.3; d 2.216, I 33.7; d 2.040, I 49.7; d 2.026, I 34.6

Cell and atoms:
Cell: 7.0467 7.0467 24.2987 Å, 90.00 90.00 33.41°
Fractional coordinates of all 26 atoms:
Dy 0.0169 0.0169 0.2500
Dy 0.1384 0.1384 0.5355
Dy 0.1385 0.1385 0.9645
Dy 0.3171 0.3171 0.1770
Dy 0.3174 0.3174 0.3230
Dy 0.4053 0.4053 0.6152
Dy 0.4055 0.4055 0.8847
Dy 0.5945 0.5945 0.1153
Dy 0.5947 0.5947 0.3848
Dy 0.6826 0.6826 0.6770
Dy 0.6829 0.6829 0.8230
Dy 0.8615 0.8615 0.0355
Dy 0.8616 0.8616 0.4645
Dy 0.9831 0.9831 0.7500
In 0.3083 0.3083 0.7499
In 0.6917 0.6917 0.2501
Se 0.0483 0.0483 0.6399
Se 0.0485 0.0485 0.8600
Se 0.2249 0.2249 0.0717
Se 0.2251 0.2251 0.4283
Se 0.5000 0.5000 0.0000
Se 0.5000 0.5000 0.5000
Se 0.7749 0.7749 0.5717
Se 0.7751 0.7751 0.9283
Se 0.9515 0.9515 0.1400
Se 0.9517 0.9517 0.3601